[1]
Diffraction record for Li8Ce7Ge10. The powder diffractogram is computed, not measured: it uses a DFT-relaxed cell (GGA-PBE, Alexandria) and a wavelength of 1.5418 Å.

Principal peaks in the range 15 to 90 degrees two-theta, sorted by position:
- 2θ = 22.84°, I = 14.6
- 2θ = 25.74°, I = 13.9
- 2θ = 26.04°, I = 25.4
- 2θ = 32.46°, I = 20.5
- 2θ = 33.50°, I = 74.2
- 2θ = 34.23°, I = 100.0
- 2θ = 40.63°, I = 28.1
- 2θ = 44.06°, I = 16.4
- 2θ = 50.16°, I = 15.2
- 2θ = 69.37°, I = 14.6

Atomic structure:
Cell lengths 16.9244, 16.9244, 4.4415 Å; angles 90.00, 90.00, 156.67 degrees
Fractional positions:
Li1 0.0439 0.3294 0.0000
Li2 0.2353 0.3851 0.5000
Li3 0.3294 0.0439 0.0000
Li4 0.3851 0.2353 0.5000
Li5 0.6149 0.7647 0.5000
Li6 0.6706 0.9561 0.0000
Li7 0.7647 0.6149 0.5000
Li8 0.9561 0.6706 0.0000
Ce1 0.0564 0.9436 0.0000
Ce2 0.2218 0.7782 0.5000
Ce3 0.3384 0.6616 0.5000
Ce4 0.5000 0.5000 0.0000
Ce5 0.6616 0.3384 0.5000
Ce6 0.7782 0.2218 0.5000
Ce7 0.9436 0.0564 0.0000
Ge1 0.0997 0.5288 0.0000
Ge2 0.1258 0.8742 0.5000
Ge3 0.1880 0.1880 0.5000
Ge4 0.4063 0.5937 0.0000
Ge5 0.4712 0.9003 0.0000
Ge6 0.5288 0.0997 0.0000
Ge7 0.5937 0.4063 0.0000
Ge8 0.8120 0.8120 0.5000
Ge9 0.8742 0.1258 0.5000
Ge10 0.9003 0.4712 0.0000

[2]
Diffraction record for Er3CrS6. The powder diffractogram is computed, not measured: it uses a DFT-relaxed cell (GGA-PBE, Alexandria) and a wavelength of 1.5418 Å.

Principal peaks in the range 15 to 90 degrees two-theta, sorted by position:
- 2θ = 26.22°, I = 73.2
- 2θ = 27.20°, I = 40.3
- 2θ = 27.58°, I = 41.1
- 2θ = 27.97°, I = 40.0
- 2θ = 32.29°, I = 36.2
- 2θ = 35.75°, I = 100.0
- 2θ = 37.16°, I = 46.8
- 2θ = 42.24°, I = 50.0
- 2θ = 48.65°, I = 36.9
- 2θ = 50.49°, I = 35.1

Atomic structure:
Cell lengths 13.2157, 15.8539, 3.7429 Å; angles 90.00, 90.00, 90.00 degrees
Fractional positions:
Er1 0.0497 0.2215 0.0000
Er2 0.1814 0.6472 0.0000
Er3 0.2426 0.9013 0.5000
Er4 0.2574 0.4013 0.0000
Er5 0.3186 0.1472 0.5000
Er6 0.4503 0.7215 0.5000
Er7 0.5497 0.2785 0.5000
Er8 0.6814 0.8528 0.5000
Er9 0.7426 0.5987 0.0000
Er10 0.7574 0.0987 0.5000
Er11 0.8186 0.3528 0.0000
Er12 0.9503 0.7785 0.0000
Cr1 0.0000 0.0000 0.5000
Cr2 0.0000 0.5000 0.5000
Cr3 0.5000 0.0000 0.0000
Cr4 0.5000 0.5000 0.0000
S1 0.0217 0.4022 0.0000
S2 0.0821 0.9240 0.0000
S3 0.1039 0.7532 0.5000
S4 0.1199 0.1093 0.5000
S5 0.1813 0.5199 0.5000
S6 0.1888 0.2897 0.5000
S7 0.3112 0.7897 0.0000
S8 0.3187 0.0199 0.0000
S9 0.3801 0.6093 0.0000
S10 0.3961 0.2532 0.0000
S11 0.4179 0.4240 0.5000
S12 0.4783 0.9022 0.5000
S13 0.5217 0.0978 0.5000
S14 0.5821 0.5760 0.5000
S15 0.6039 0.7468 0.0000
S16 0.6199 0.3907 0.0000
S17 0.6813 0.9801 0.0000
S18 0.6888 0.2103 0.0000
S19 0.8112 0.7103 0.5000
S20 0.8187 0.4801 0.5000
S21 0.8801 0.8907 0.5000
S22 0.8961 0.2468 0.5000
S23 0.9179 0.0760 0.0000
S24 0.9783 0.5978 0.0000

[3]
Diffraction record for Pt3Rh. The powder diffractogram is computed, not measured: it uses a DFT-relaxed cell (GGA-PBE, Alexandria) and a wavelength of 1.5418 Å.

Principal peaks in the range 15 to 90 degrees two-theta, sorted by position:
- 2θ = 39.54°, I = 100.0
- 2θ = 39.69°, I = 99.0
- 2θ = 46.07°, I = 97.6
- 2θ = 66.98°, I = 10.7
- 2θ = 67.19°, I = 42.5
- 2θ = 80.76°, I = 25.7
- 2θ = 80.92°, I = 25.6
- 2θ = 81.04°, I = 25.5
- 2θ = 85.14°, I = 11.4
- 2θ = 85.51°, I = 11.3

Atomic structure:
Cell lengths 4.8216, 4.8216, 2.7942 Å; angles 90.00, 90.00, 109.60 degrees
Fractional positions:
Pt1 0.0000 0.0000 0.0000
Pt2 0.0000 0.5000 0.5000
Pt3 0.5000 0.0000 0.5000
Rh1 0.5000 0.5000 0.0000

[4]
Diffraction record for InBi2Pd6. The powder diffractogram is computed, not measured: it uses a DFT-relaxed cell (GGA-PBE, Alexandria) and a wavelength of 1.5418 Å.

Principal peaks in the range 15 to 90 degrees two-theta, sorted by position:
- 2θ = 22.25°, I = 40.2
- 2θ = 30.04°, I = 100.0
- 2θ = 38.64°, I = 66.3
- 2θ = 39.84°, I = 98.2
- 2θ = 41.20°, I = 87.6
- 2θ = 41.31°, I = 87.0
- 2θ = 49.62°, I = 25.1
- 2θ = 49.79°, I = 24.8
- 2θ = 57.21°, I = 20.5
- 2θ = 66.89°, I = 25.9

Atomic structure:
Cell lengths 6.6146, 6.6146, 4.6600 Å; angles 110.46, 110.46, 71.88 degrees
Fractional positions:
In1 0.0000 0.0000 0.0000
Bi1 0.3297 0.3297 0.3297
Bi2 0.6703 0.6703 0.6703
Pd1 0.1369 0.5413 0.8392
Pd2 0.1936 0.8064 0.5000
Pd3 0.4587 0.8631 0.1608
Pd4 0.5413 0.1369 0.8392
Pd5 0.8064 0.1936 0.5000
Pd6 0.8631 0.4587 0.1608

[5]
Diffraction record for TiBeNi14. The powder diffractogram is computed, not measured: it uses a DFT-relaxed cell (GGA-PBE, Alexandria) and a wavelength of 1.5418 Å.

Principal peaks in the range 15 to 90 degrees two-theta, sorted by position:
- 2θ = 21.84°, I = 1.3
- 2θ = 25.27°, I = 2.2
- 2θ = 28.31°, I = 2.2
- 2θ = 31.09°, I = 0.9
- 2θ = 36.04°, I = 1.8
- 2θ = 38.31°, I = 1.2
- 2θ = 44.53°, I = 100.0
- 2θ = 51.89°, I = 46.3
- 2θ = 58.57°, I = 0.8
- 2θ = 76.44°, I = 26.6

Atomic structure:
Cell lengths 4.9857, 4.9857, 7.0439 Å; angles 90.00, 90.00, 90.00 degrees
Fractional positions:
Ti1 0.0000 0.0000 0.0000
Be1 0.5000 0.5000 0.0000
Ni1 0.0000 0.0000 0.5000
Ni2 0.0000 0.5000 0.0000
Ni3 0.0000 0.5000 0.5000
Ni4 0.2544 0.2544 0.2501
Ni5 0.2544 0.2544 0.7499
Ni6 0.2544 0.7456 0.2501
Ni7 0.2544 0.7456 0.7499
Ni8 0.5000 0.0000 0.0000
Ni9 0.5000 0.0000 0.5000
Ni10 0.5000 0.5000 0.5000
Ni11 0.7456 0.2544 0.2501
Ni12 0.7456 0.2544 0.7499
Ni13 0.7456 0.7456 0.2501
Ni14 0.7456 0.7456 0.7499

[6]
Diffraction record for Ce2SmHoSe5. The powder diffractogram is computed, not measured: it uses a DFT-relaxed cell (GGA-PBE, Alexandria) and a wavelength of 1.5418 Å.

Principal peaks in the range 15 to 90 degrees two-theta, sorted by position:
- 2θ = 23.86°, I = 30.1
- 2θ = 24.61°, I = 79.8
- 2θ = 30.17°, I = 25.0
- 2θ = 32.88°, I = 23.7
- 2θ = 35.06°, I = 100.0
- 2θ = 41.48°, I = 19.2
- 2θ = 48.84°, I = 30.9
- 2θ = 50.45°, I = 24.5
- 2θ = 56.91°, I = 16.5
- 2θ = 61.54°, I = 15.3

Atomic structure:
Cell lengths 5.1161, 5.1161, 10.8976 Å; angles 90.00, 90.00, 90.00 degrees
Fractional positions:
Ce1 0.0000 0.0000 0.1930
Ce2 0.0000 0.0000 0.8070
Sm1 0.5000 0.5000 0.5000
Ho1 0.5000 0.5000 0.0000
Se1 0.0000 0.0000 0.5000
Se2 0.0000 0.5000 0.0000
Se3 0.5000 0.0000 0.0000
Se4 0.5000 0.5000 0.2521
Se5 0.5000 0.5000 0.7479